Starting from a GGA-PBE-relaxed structure, the powder diffractogram of Ho2Er3Si4 was simulated for Cu Kα.
Peak positions follow from Bragg's law for the DFT cell and can differ from measured ones.

Main lines, by angle (5 to 70 degrees two-theta):
2θ (°)  d (Å)  I_rel
26.57  3.355  58
27.44  3.251  48
29.85  2.993  52
32.12  2.787  45
33.54  2.672  100
33.77  2.655  87
34.06  2.632  99
34.26  2.617  43
37.57  2.394  64
38.71  2.326  55
54.03  1.697  44
57.57  1.601  39

Cell and atoms:
Unit cell a=7.5893 b=7.6405 c=7.3294 alpha=90.00 beta=106.84 gamma=90.00
Space group P2_1/c (No. 14)
One atom of each set of equivalent atoms:
Ho 0.1980 0.1804 0.0842 [4 per cell]
Er 0.2437 0.6812 0.2524 [4 per cell]
Er 0.5000 0.0000 0.5000 [2 per cell]
Si 0.0796 0.5292 0.8733 [4 per cell]
Si 0.4885 0.1216 0.8758 [4 per cell]

Starting from a GGA-PBE-relaxed structure, the powder diffractogram of HoEr4Si4 was simulated for Cu Kα.
Peak positions follow from Bragg's law for the DFT cell and can differ from measured ones.

Main lines, by angle (5 to 70 degrees two-theta):
2θ (°)  d (Å)  I_rel
20.99  4.233  17
27.25  3.272  100
31.67  2.825  88
32.40  2.763  27
32.98  2.716  50
35.46  2.532  23
39.66  2.273  15
43.97  2.059  22
45.40  1.998  28
48.69  1.870  17
53.08  1.725  21
53.76  1.705  25

Cell and atoms:
Unit cell a=8.9348 b=8.9348 c=5.7019 alpha=90.00 beta=90.00 gamma=90.00
Space group P4_2/n (No. 86, origin choice 2)
One atom of each set of equivalent atoms:
Ho 0.2500 0.2500 0.2500 [2 per cell]
Er 0.0825 0.6546 0.1267 [8 per cell]
Si 0.0258 0.6102 0.6260 [8 per cell]

> Which formula does entry 1 have?

Ho2Er3Si4

Copy entry 2 word for word.
Starting from a GGA-PBE-relaxed structure, the powder diffractogram of HoEr4Si4 was simulated for Cu Kα.
Peak positions follow from Bragg's law for the DFT cell and can differ from measured ones.

Main lines, by angle (5 to 70 degrees two-theta):
2θ (°)  d (Å)  I_rel
20.99  4.233  17
27.25  3.272  100
31.67  2.825  88
32.40  2.763  27
32.98  2.716  50
35.46  2.532  23
39.66  2.273  15
43.97  2.059  22
45.40  1.998  28
48.69  1.870  17
53.08  1.725  21
53.76  1.705  25

Cell and atoms:
Unit cell a=8.9348 b=8.9348 c=5.7019 alpha=90.00 beta=90.00 gamma=90.00
Space group P4_2/n (No. 86, origin choice 2)
One atom of each set of equivalent atoms:
Ho 0.2500 0.2500 0.2500 [2 per cell]
Er 0.0825 0.6546 0.1267 [8 per cell]
Si 0.0258 0.6102 0.6260 [8 per cell]